Record 1
Simulated PXRD pattern of Ba2EuNbO6 for Cu Kα (weighted mean of Kα1 and Kα2), from a cell relaxed with PBE.
Neutral-atom scattering factors, no anomalous dispersion.

Structural model:
```
data_Ba2EuNbO6
_cell_length_a 6.0728
_cell_length_b 6.0728
_cell_length_c 8.7063
_cell_angle_alpha 90.00
_cell_angle_beta 90.00
_cell_angle_gamma 90.00
_symmetry_space_group_name_H-M 'I 4/m'
_symmetry_Int_Tables_number 87
_symmetry_space_group_name_Hall '-I 4'
loop_
_atom_site_label
_atom_site_type_symbol
_atom_site_fract_x
_atom_site_fract_y
_atom_site_fract_z
_atom_site_occupancy
Ba1 Ba 0.0000 0.5000 0.2500 1
Eu1 Eu 0.0000 0.0000 0.0000 1
Nb1 Nb 0.0000 0.0000 0.5000 1
O1 O 0.0000 0.0000 0.2667 1
O2 O 0.1910 0.2743 0.5000 1
```

The 8 most intense peaks (2θ from 5° to 70°), in order of falling intensity:
| 2theta | Rel. int. | index |
| --- | --- | --- |
| 29.2 | 100 | 1 1 2 |
| 29.4 | 52 | 2 0 0 |
| 52.1 | 42 | 1 3 2 |
| 42.1 | 28 | 2 2 0 |
| 51.7 | 21 | 2 0 4 |
| 60.6 | 18 | 2 2 4 |
| 41.5 | 16 | 0 0 4 |
| 69.2 | 10 | 4 2 0 |

***

Record 2
Simulated PXRD pattern of Ba2EuNbO6 for Cu Kα (weighted mean of Kα1 and Kα2), from a cell relaxed with PBE.
Neutral-atom scattering factors, no anomalous dispersion.

Structural model:
```
data_Ba2EuNbO6
_cell_length_a 8.6305
_cell_length_b 8.6305
_cell_length_c 8.6305
_cell_angle_alpha 90.00
_cell_angle_beta 90.00
_cell_angle_gamma 90.00
_symmetry_space_group_name_H-M 'P n -3'
_symmetry_Int_Tables_number 201
loop_
_symmetry_equiv_pos_as_xyz
'x,y,z'
'-x,-y,-z'
'-x+1/2,-y+1/2,z'
'x+1/2,y+1/2,-z'
'x,-y+1/2,-z+1/2'
'-x,y+1/2,z+1/2'
'-x+1/2,y,-z+1/2'
'x+1/2,-y,z+1/2'
'z,x,y'
'-z,-x,-y'
'z,-x+1/2,-y+1/2'
'-z,x+1/2,y+1/2'
'-z+1/2,x,-y+1/2'
'z+1/2,-x,y+1/2'
'-z+1/2,-x+1/2,y'
'z+1/2,x+1/2,-y'
'y,z,x'
'-y,-z,-x'
'-y+1/2,z,-x+1/2'
'y+1/2,-z,x+1/2'
'-y+1/2,-z+1/2,x'
'y+1/2,z+1/2,-x'
'y,-z+1/2,-x+1/2'
'-y,z+1/2,x+1/2'
loop_
_atom_site_label
_atom_site_type_symbol
_atom_site_fract_x
_atom_site_fract_y
_atom_site_fract_z
_atom_site_occupancy
Ba1 Ba 0.2500 0.2500 0.2500 1
Ba2 Ba 0.2500 0.2500 0.7500 1
Eu1 Eu 0.0000 0.0000 0.0000 1
Nb1 Nb 0.0000 0.0000 0.5000 1
O1 O 0.0150 0.5166 0.7662 1
```

The 8 most intense peaks (2θ from 5° to 70°), in order of falling intensity:
| 2theta | Rel. int. | index |
| --- | --- | --- |
| 29.3 | 100 | 2 2 0 |
| 51.9 | 41 | 4 2 2 |
| 41.9 | 29 | 4 0 0 |
| 60.7 | 18 | 4 4 0 |
| 68.8 | 18 | 6 2 0 |
| 34.5 | 2 | 3 1 1 |
| 36.1 | 2 | 2 2 2 |
| 17.8 | 2 | 1 1 1 |

***

Record 3
Simulated PXRD pattern of BaPrEuNbO6 for Cu Kα (weighted mean of Kα1 and Kα2), from a cell relaxed with PBE.
Neutral-atom scattering factors, no anomalous dispersion.

Structural model:
```
data_BaPrEuNbO6
_cell_length_a 8.6978
_cell_length_b 8.6978
_cell_length_c 8.6978
_cell_angle_alpha 90.00
_cell_angle_beta 90.00
_cell_angle_gamma 90.00
_symmetry_space_group_name_H-M 'F -4 3 m'
_symmetry_Int_Tables_number 216
_symmetry_space_group_name_Hall 'F -4 2 3'
loop_
_atom_site_label
_atom_site_type_symbol
_atom_site_fract_x
_atom_site_fract_y
_atom_site_fract_z
_atom_site_occupancy
Ba1 Ba 0.0000 0.0000 0.0000 1
Pr1 Pr 0.2500 0.2500 0.2500 1
Eu1 Eu 0.0000 0.0000 0.5000 1
Nb1 Nb 0.2500 0.2500 0.7500 1
O1 O 0.0181 0.2500 0.7500 1
```

The 8 most intense peaks (2θ from 5° to 70°), in order of falling intensity:
| 2theta | Rel. int. | index |
| --- | --- | --- |
| 29.0 | 100 | 2 2 0 |
| 51.5 | 41 | 4 2 2 |
| 41.5 | 30 | 4 0 0 |
| 60.2 | 19 | 4 4 0 |
| 68.2 | 18 | 6 2 0 |
| 35.8 | 3 | 2 2 2 |
| 34.2 | 2 | 3 1 1 |
| 17.7 | 1 | 1 1 1 |

***

Record 4
Simulated PXRD pattern of BaPrEuNbO6 for Cu Kα (weighted mean of Kα1 and Kα2), from a cell relaxed with PBE.
Neutral-atom scattering factors, no anomalous dispersion.

Structural model:
```
data_BaPrEuNbO6
_cell_length_a 8.5841
_cell_length_b 8.6535
_cell_length_c 8.6737
_cell_angle_alpha 90.00
_cell_angle_beta 90.00
_cell_angle_gamma 90.00
_symmetry_space_group_name_H-M 'P n n n'
_symmetry_Int_Tables_number 48
loop_
_symmetry_equiv_pos_as_xyz
'x,y,z'
'-x,-y,-z'
'-x+1/2,-y+1/2,z'
'x+1/2,y+1/2,-z'
'x,-y+1/2,-z+1/2'
'-x,y+1/2,z+1/2'
'-x+1/2,y,-z+1/2'
'x+1/2,-y,z+1/2'
loop_
_atom_site_label
_atom_site_type_symbol
_atom_site_fract_x
_atom_site_fract_y
_atom_site_fract_z
_atom_site_occupancy
Ba1 Ba 0.2500 0.2500 0.2500 1
Ba2 Ba 0.2500 0.7500 0.2500 1
Pr1 Pr 0.0000 0.0000 0.0000 1
Eu1 Eu 0.2500 0.2500 0.7500 1
Eu2 Eu 0.2500 0.7500 0.7500 1
Nb1 Nb 0.0000 0.0000 0.5000 1
O1 O 0.0379 0.0446 0.7304 1
O2 O 0.0442 0.7302 0.9613 1
O3 O 0.2299 0.0325 0.4620 1
```

The 8 most intense peaks (2θ from 5° to 70°), in order of falling intensity:
| 2theta | Rel. int. | index |
| --- | --- | --- |
| 29.3 | 100 | 2 2 0 |
| 29.2 | 51 | 0 2 2 |
| 51.8 | 45 | 2 4 2 |
| 52.0 | 22 | 4 2 2 |
| 60.8 | 16 | 4 0 4 |
| 41.7 | 14 | 0 0 4 |
| 41.8 | 14 | 0 4 0 |
| 42.1 | 13 | 4 0 0 |

***

- Which formula does entry 2 have?
  Ba2EuNbO6